Record 1
Theoretical powder diffraction line list of RbVRe2O8 for Cu Kα X-rays, from a GGA+U-relaxed structure.
Intensities are scaled so that the largest is 100.

Top 10 peaks for 2θ from 10° to 80°, by intensity:
d/Å	I (rel.)	h k l
4.236	100.0	1 0 1
2.926	40.9	1 1 0
3.069	34.0	0 1 2
1.859	20.9	2 1 1
1.610	13.8	1 1 4
2.118	13.3	0 2 2
2.293	12.8	1 0 3
2.407	12.7	0 2 1
1.716	12.5	3 -2 2
1.804	10.0	0 2 3

Crystal structure
```
data_RbVRe2O8
_chemical_formula_sum 'Rb1 V1 Re2 O8'
_cell_length_a 5.8521
_cell_length_b 5.8521
_cell_length_c 7.7140
_cell_angle_alpha 90.00
_cell_angle_beta 90.00
_cell_angle_gamma 120.00
_space_group_name_H-M_alt 'P -3'
_space_group_IT_number 147
_space_group_name_Hall '-P 3'
loop_
_atom_site_label
_atom_site_fract_x
_atom_site_fract_y
_atom_site_fract_z
Rb1 0.0000 0.0000 0.0000
V1 0.0000 0.0000 0.5000
Re1 0.3333 0.6667 0.7331
O1 0.1655 0.3333 0.6583
O2 0.3333 0.6667 0.9618
```



Record 2
Theoretical powder diffraction line list of RbV2ReO8 for Cu Kα X-rays, from a GGA+U-relaxed structure.
Intensities are scaled so that the largest is 100.

Top 10 peaks for 2θ from 10° to 80°, by intensity:
d/Å	I (rel.)	h k l
3.148	100.0	1 1 -2
4.861	98.2	1 1 0
8.153	94.5	0 0 1
4.204	79.8	1 1 -1
2.753	74.3	3 1 0
4.723	63.9	2 0 0
3.100	58.0	1 1 2
4.033	45.6	2 0 1
2.835	40.5	0 2 0
3.040	31.5	2 0 2

Crystal structure
```
data_RbV2ReO8
_chemical_formula_sum 'Rb2 V4 Re2 O16'
_cell_length_a 9.450
_cell_length_b 5.669
_cell_length_c 8.157
_cell_angle_alpha 90.00
_cell_angle_beta 91.76
_cell_angle_gamma 90.00
_space_group_name_H-M_alt 'C 1 2/m 1'
_space_group_IT_number 12
_space_group_name_Hall '-C 2y'
loop_
_atom_site_label
_atom_site_fract_x
_atom_site_fract_y
_atom_site_fract_z
Rb1 0.000 0.000 0.000
V1 0.149 0.500 0.291
Re1 0.000 0.000 0.500
O1 0.054 0.238 0.346
O2 0.176 0.500 0.091
O3 0.190 0.000 0.593
```



Record 3
Theoretical powder diffraction line list of RbVReO6 for Cu Kα X-rays, from a GGA+U-relaxed structure.
Intensities are scaled so that the largest is 100.

Top 10 peaks for 2θ from 10° to 80°, by intensity:
d/Å	I (rel.)	h k l
6.309	100.0	0 0 1
3.626	86.8	1 -1 1
3.738	51.3	1 0 -1
3.672	46.8	0 1 1
3.647	36.8	1 0 1
3.758	34.7	0 1 -1
2.572	34.0	2 -1 0
3.154	31.7	0 0 2
2.670	24.6	1 1 0
2.597	22.0	1 -2 0

Crystal structure
```
data_RbVReO6
_chemical_formula_sum 'Rb1 V1 Re1 O6'
_cell_length_a 5.151
_cell_length_b 5.199
_cell_length_c 6.312
_cell_angle_alpha 90.79
_cell_angle_beta 90.94
_cell_angle_gamma 117.85
_space_group_name_H-M_alt 'P 1'
_space_group_IT_number 1
_space_group_name_Hall 'P 1'
loop_
_atom_site_label
_atom_site_fract_x
_atom_site_fract_y
_atom_site_fract_z
Rb1 0.000 0.000 0.000
V1 0.329 0.676 0.463
Re1 0.660 0.325 0.511
O1 0.392 0.011 0.658
O2 0.427 0.403 0.309
O3 0.597 0.596 0.666
O4 0.609 0.008 0.320
O5 0.993 0.383 0.659
O6 0.995 0.594 0.319
```



Record 4
Theoretical powder diffraction line list of Rb2VRe3O12 for Cu Kα X-rays, from a GGA+U-relaxed structure.
Intensities are scaled so that the largest is 100.

Top 10 peaks for 2θ from 10° to 80°, by intensity:
d/Å	I (rel.)	h k l
3.122	100.0	0 2 1
5.954	66.8	0 0 3
2.989	49.7	2 0 2
1.832	22.7	2 2 0
1.824	21.6	2 0 8
1.992	20.3	3 0 3
3.109	19.9	0 1 5
3.647	17.7	1 0 4
1.579	15.0	4 0 1
1.345	14.7	2 2 9

Crystal structure
```
data_Rb2VRe3O12
_chemical_formula_sum 'Rb6 V3 Re9 O36'
_cell_length_a 7.3279
_cell_length_b 7.3279
_cell_length_c 17.8278
_cell_angle_alpha 90.00
_cell_angle_beta 90.00
_cell_angle_gamma 120.00
_space_group_name_H-M_alt 'R -3 m'
_space_group_IT_number 166
_space_group_name_Hall '-R 3 2"'
loop_
_atom_site_label
_atom_site_fract_x
_atom_site_fract_y
_atom_site_fract_z
Rb1 0.0000 0.0000 0.1237
V1 0.0000 0.0000 0.5000
Re1 0.0000 0.5000 0.0000
O1 0.0823 0.5411 0.0993
O2 0.0824 0.5412 0.3549
```